Structure and computed X-ray powder pattern of Re10Ni3 (a DFT-relaxed cell (GGA-PBE, OQMD); Cu Kα (λ = 1.5418 Å)).
No peak broadening, texture or thermal motion is included.

The 8 most intense peaks (2θ from 10° to 90°), sorted by position:
2.238 Å, 2θ = 40.30°, I = 44
2.179 Å, 2θ = 41.43°, I = 25
2.167 Å, 2θ = 41.68°, I = 100
2.156 Å, 2θ = 41.91°, I = 53
2.083 Å, 2θ = 43.43°, I = 48
2.053 Å, 2θ = 44.10°, I = 50
1.999 Å, 2θ = 45.37°, I = 70
1.249 Å, 2θ = 76.25°, I = 35

Crystal structure
```
Re10Ni3
1.0
2.498 1.442 8.717
-2.498 1.442 8.717
0.000 -2.884 8.717
Re Ni
10 3
Cartesian
-1.264 -0.730 11.043 Re
0.000 0.000 3.730 Re
0.000 0.000 8.755 Re
0.000 -1.459 15.108 Re
-1.264 0.730 15.108 Re
1.264 -0.730 11.043 Re
0.000 1.459 11.043 Re
0.000 0.000 17.396 Re
0.000 0.000 22.421 Re
1.264 0.730 15.108 Re
0.000 0.000 1.174 Ni
0.000 0.000 13.076 Ni
0.000 0.000 24.978 Ni
```